Record 1
# K6Si2S6O
Theoretical PXRD pattern, a wavelength of 1.5418 Å. Input: a crystal structure in the Materials Project, relaxed with PBE.

Main lines, in order of rising 2θ (2θ = 10–90°):
2θ 26.01, rel. 35
2θ 26.42, rel. 60
2θ 30.49, rel. 100
2θ 31.11, rel. 46
2θ 32.11, rel. 45
2θ 32.30, rel. 38
2θ 32.58, rel. 39
2θ 32.84, rel. 67

Crystal structure
a = 8.857 Å, b = 11.858 Å, c = 8.424 Å
α = 90.00°, β = 112.08°, γ = 90.00°
Sites, in units of the cell vectors:
K1 0.008 0.173 0.011
K2 0.008 0.327 0.511
K3 0.226 0.562 0.217
K4 0.226 0.938 0.717
K5 0.456 0.221 0.808
K6 0.456 0.279 0.308
K7 0.544 0.721 0.692
K8 0.544 0.779 0.192
K9 0.774 0.062 0.283
K10 0.774 0.438 0.783
K11 0.992 0.673 0.489
K12 0.992 0.827 0.989
Si1 0.315 0.510 0.850
Si2 0.315 0.990 0.350
Si3 0.685 0.010 0.650
Si4 0.685 0.490 0.150
S1 0.173 0.116 0.412
S2 0.173 0.384 0.912
S3 0.239 0.679 0.870
S4 0.239 0.821 0.370
S5 0.335 0.023 0.110
S6 0.335 0.477 0.610
S7 0.665 0.523 0.390
S8 0.665 0.977 0.890
S9 0.761 0.179 0.630
S10 0.761 0.321 0.130
S11 0.827 0.616 0.088
S12 0.827 0.884 0.588
O1 0.500 0.000 0.500
O2 0.500 0.500 0.000

=====

Record 2
# In3Sn
Theoretical PXRD pattern, a wavelength of 1.5418 Å. Input: a crystal structure in the Materials Project, relaxed with PBE.

Main lines, in order of rising 2θ (2θ = 10–90°):
2θ 31.63, rel. 100
2θ 32.97, rel. 45
2θ 34.48, rel. 40
2θ 35.78, rel. 72
2θ 41.95, rel. 23
2θ 55.28, rel. 20
2θ 57.29, rel. 18
2θ 59.93, rel. 16

Crystal structure
a = 5.359 Å, b = 3.751 Å, c = 11.191 Å
α = 90.00°, β = 103.84°, γ = 90.00°
Sites, in units of the cell vectors:
In1 0.000 0.000 0.000
In2 0.002 0.500 0.752
In3 0.498 0.000 0.248
In4 0.500 0.500 0.000
In5 0.502 0.000 0.752
In6 0.998 0.500 0.248
Sn1 0.000 0.000 0.500
Sn2 0.500 0.500 0.500

=====

Record 3
# Hf4FeS8
Theoretical PXRD pattern, a wavelength of 1.5418 Å. Input: a crystal structure in the Materials Project, relaxed with PBE.

Main lines, in order of rising 2θ (2θ = 10–90°):
2θ 15.13, rel. 88
2θ 28.67, rel. 57
2θ 32.57, rel. 100
2θ 42.37, rel. 81
2θ 50.83, rel. 21
2θ 53.35, rel. 14
2θ 55.57, rel. 21
2θ 68.16, rel. 13

Crystal structure
a = 6.875 Å, b = 6.875 Å, c = 8.537 Å
α = 125.72°, β = 125.72°, γ = 63.20°
Sites, in units of the cell vectors:
Hf1 0.246 0.754 0.000
Hf2 0.251 0.251 0.497
Hf3 0.749 0.749 0.503
Hf4 0.754 0.246 0.000
Fe1 0.000 0.000 0.500
S1 0.209 0.715 0.665
S2 0.210 0.210 0.165
S3 0.285 0.791 0.335
S4 0.289 0.289 0.830
S5 0.711 0.711 0.170
S6 0.715 0.209 0.665
S7 0.790 0.790 0.835
S8 0.791 0.285 0.335

=====

Record 4
# Al2VNi9
Theoretical PXRD pattern, a wavelength of 1.5418 Å. Input: a crystal structure in the Materials Project, relaxed with PBE.

Main lines, in order of rising 2θ (2θ = 10–90°):
2θ 25.06, rel. 4
2θ 25.16, rel. 2
2θ 35.79, rel. 5
2θ 44.21, rel. 100
2θ 51.43, rel. 31
2θ 51.66, rel. 15
2θ 75.71, rel. 9
2θ 75.89, rel. 18

Crystal structure
a = 3.553 Å, b = 3.553 Å, c = 10.617 Å
α = 90.00°, β = 90.00°, γ = 90.00°
Sites, in units of the cell vectors:
Al1 0.000 0.000 0.164
Al2 0.000 0.000 0.836
V1 0.000 0.000 0.500
Ni1 0.000 0.500 0.000
Ni2 0.000 0.500 0.337
Ni3 0.000 0.500 0.663
Ni4 0.500 0.000 0.000
Ni5 0.500 0.000 0.337
Ni6 0.500 0.000 0.663
Ni7 0.500 0.500 0.167
Ni8 0.500 0.500 0.500
Ni9 0.500 0.500 0.833

=====

Record 5
# ErFeNi
Theoretical PXRD pattern, a wavelength of 1.5418 Å. Input: a crystal structure in the Materials Project, relaxed with PBE.

Main lines, in order of rising 2θ (2θ = 10–90°):
2θ 34.71, rel. 21
2θ 35.23, rel. 87
2θ 36.77, rel. 21
2θ 40.93, rel. 35
2θ 41.40, rel. 100
2θ 42.77, rel. 68
2θ 69.38, rel. 21
2θ 74.49, rel. 28

Crystal structure
a = 4.888 Å, b = 5.169 Å, c = 7.313 Å
α = 90.00°, β = 90.00°, γ = 90.00°
Sites, in units of the cell vectors:
Er1 0.000 0.250 0.122
Er2 0.000 0.750 0.878
Er3 0.500 0.250 0.378
Er4 0.500 0.750 0.622
Fe1 0.250 0.250 0.750
Fe2 0.250 0.750 0.250
Fe3 0.750 0.250 0.750
Fe4 0.750 0.750 0.250
Ni1 0.000 0.000 0.500
Ni2 0.000 0.500 0.500
Ni3 0.500 0.000 0.000
Ni4 0.500 0.500 0.000

=====

Record 6
# Mo3WSe2S6
Theoretical PXRD pattern, a wavelength of 1.5418 Å. Input: a crystal structure in the Materials Project, relaxed with PBE.

Main lines, in order of rising 2θ (2θ = 10–90°):
2θ 12.19, rel. 100
2θ 14.64, rel. 22
2θ 32.09, rel. 25
2θ 34.44, rel. 15
2θ 37.86, rel. 59
2θ 40.79, rel. 12
2θ 45.98, rel. 34
2θ 57.20, rel. 17

Crystal structure
a = 3.221 Å, b = 3.221 Å, c = 36.307 Å
α = 90.00°, β = 90.00°, γ = 120.00°
Sites, in units of the cell vectors:
Mo1 0.000 0.000 0.000
Mo2 0.000 0.000 0.376
Mo3 0.333 0.667 0.188
W1 0.333 0.667 0.564
Se1 0.333 0.667 0.047
Se2 0.333 0.667 0.953
S1 0.000 0.000 0.145
S2 0.000 0.000 0.231
S3 0.000 0.000 0.521
S4 0.000 0.000 0.607
S5 0.333 0.667 0.333
S6 0.333 0.667 0.419

=====

Record 7
# K2InAsI6
Theoretical PXRD pattern, a wavelength of 1.5418 Å. Input: a crystal structure in the Materials Project, relaxed with PBE.

Main lines, in order of rising 2θ (2θ = 10–90°):
2θ 14.61, rel. 68
2θ 25.45, rel. 75
2θ 29.47, rel. 100
2θ 33.05, rel. 36
2θ 42.17, rel. 72
2θ 49.90, rel. 32
2θ 52.28, rel. 25
2θ 69.33, rel. 30

Crystal structure
a = 8.572 Å, b = 8.572 Å, c = 8.572 Å
α = 60.00°, β = 60.00°, γ = 60.00°
Sites, in units of the cell vectors:
K1 0.250 0.250 0.250
K2 0.750 0.750 0.750
In1 0.000 0.000 0.000
As1 0.500 0.500 0.500
I1 0.261 0.261 0.739
I2 0.261 0.739 0.261
I3 0.261 0.739 0.739
I4 0.739 0.261 0.261
I5 0.739 0.261 0.739
I6 0.739 0.739 0.261

=====

Record 8
# Ba2Nd2MgCu2B2O10
Theoretical PXRD pattern, a wavelength of 1.5418 Å. Input: a crystal structure in the Materials Project, relaxed with PBE.

Main lines, in order of rising 2θ (2θ = 10–90°):
2θ 10.23, rel. 66
2θ 22.47, rel. 46
2θ 30.63, rel. 100
2θ 31.99, rel. 66
2θ 38.65, rel. 54
2θ 45.87, rel. 35
2θ 56.18, rel. 40
2θ 61.50, rel. 25

Crystal structure
a = 5.595 Å, b = 5.595 Å, c = 8.647 Å
α = 90.00°, β = 90.00°, γ = 90.00°
Sites, in units of the cell vectors:
Ba1 0.000 0.000 0.000
Ba2 0.500 0.500 0.061
Nd1 0.000 0.000 0.450
Nd2 0.500 0.500 0.420
Mg1 0.500 0.500 0.725
Cu1 0.000 0.500 0.266
Cu2 0.500 0.000 0.266
B1 0.000 0.500 0.713
B2 0.500 0.000 0.713
O1 0.000 0.500 0.875
O2 0.176 0.371 0.632
O3 0.233 0.746 0.271
O4 0.254 0.233 0.271
O5 0.371 0.824 0.632
O6 0.500 0.000 0.875
O7 0.629 0.176 0.632
O8 0.746 0.767 0.271
O9 0.767 0.254 0.271
O10 0.824 0.629 0.632

=====

Record 9
# TiPt3
Theoretical PXRD pattern, a wavelength of 1.5418 Å. Input: a crystal structure in the Materials Project, relaxed with PBE.

Main lines, in order of rising 2θ (2θ = 10–90°):
2θ 21.46, rel. 24
2θ 38.86, rel. 100
2θ 39.53, rel. 73
2θ 40.95, rel. 100
2θ 43.73, rel. 81
2θ 47.11, rel. 59
2θ 66.93, rel. 47
2θ 80.61, rel. 56

Crystal structure
a = 5.592 Å, b = 5.592 Å, c = 15.957 Å
α = 90.00°, β = 90.00°, γ = 120.00°
Sites, in units of the cell vectors:
Ti1 0.000 0.000 0.000
Ti2 0.000 0.000 0.281
Ti3 0.000 0.000 0.719
Ti4 0.333 0.667 0.143
Ti5 0.333 0.667 0.571
Ti6 0.667 0.333 0.429
Ti7 0.667 0.333 0.857
Pt1 0.000 0.500 0.000
Pt2 0.001 0.500 0.286
Pt3 0.167 0.333 0.857
Pt4 0.167 0.334 0.429
Pt5 0.167 0.833 0.429
Pt6 0.167 0.833 0.857
Pt7 0.333 0.167 0.143
Pt8 0.334 0.167 0.571
Pt9 0.500 0.000 0.000
Pt10 0.500 0.001 0.714
Pt11 0.500 0.500 0.000
Pt12 0.500 0.500 0.286
Pt13 0.500 0.500 0.714
Pt14 0.500 0.999 0.286
Pt15 0.666 0.833 0.429
Pt16 0.667 0.833 0.857
Pt17 0.833 0.167 0.143
Pt18 0.833 0.167 0.571
Pt19 0.833 0.666 0.571
Pt20 0.833 0.667 0.143
Pt21 0.999 0.500 0.714

=====

Record 10
# TaSeN
Theoretical PXRD pattern, a wavelength of 1.5418 Å. Input: a crystal structure in the Materials Project, relaxed with PBE.

Main lines, in order of rising 2θ (2θ = 10–90°):
2θ 28.18, rel. 43
2θ 34.78, rel. 71
2θ 37.45, rel. 100
2θ 45.21, rel. 14
2θ 50.01, rel. 31
2θ 58.39, rel. 12
2θ 64.12, rel. 42
2θ 83.88, rel. 12

Crystal structure
a = 3.648 Å, b = 3.648 Å, c = 6.380 Å
α = 90.00°, β = 90.00°, γ = 90.00°
Sites, in units of the cell vectors:
Ta1 0.250 0.250 0.173
Ta2 0.750 0.750 0.827
Se1 0.250 0.250 0.620
Se2 0.750 0.750 0.380
N1 0.250 0.750 0.000
N2 0.750 0.250 0.000